(1)
Structure and computed powder XRD pattern of KAcSn4 (the GGA-PBE geometry in Alexandria; Cu Ka).
Neutral-atom scattering factors, no anomalous dispersion.

Largest 10 diffraction maxima, in order of rising 2θ, 2θ from 5° to 70°:
Position (°2θ)  I (rel.)
16.94  161
19.58  129
27.83  261
32.76  1000
34.26  400
49.23  109
52.44  359
57.50  289
67.77  128
68.66  171

Structural model:
```
6
Lattice="0.0000 4.5335 4.5335 4.5335 0.0000 4.5335 4.5335 4.5335 0.0000" Properties=species:S:1:pos:R:3 pbc="T T T"
K 0.0000 0.0000 0.0000
Ac 2.2667 2.2667 2.2667
Sn 5.6594 3.4076 3.4076
Sn 3.4076 5.6594 3.4076
Sn 3.4076 3.4076 5.6594
Sn 5.6594 5.6594 5.6594
```

---

(2)
Structure and computed powder XRD pattern of AcAg2PbO4 (the GGA-PBE geometry in Alexandria; Cu Ka).
Neutral-atom scattering factors, no anomalous dispersion.

Largest 10 diffraction maxima, in order of rising 2θ, 2θ from 5° to 70°:
Position (°2θ)  I (rel.)
20.25  153
28.78  580
32.77  1000
38.82  101
41.16  314
53.58  518
60.85  148
67.53  117
68.68  134
69.72  107

Structural model:
```
16
Lattice="6.2033 0.0000 0.0000 0.0000 6.2033 0.0000 0.0000 0.0000 6.9890" Properties=species:S:1:pos:R:3 pbc="T T T"
Ac 0.0000 0.0000 0.0000
Ac 3.1016 3.1016 3.4945
Ag 0.0000 3.1016 1.7473
Ag 0.0000 3.1016 5.2418
Ag 3.1016 0.0000 1.7473
Ag 3.1016 0.0000 5.2418
Pb 0.0000 0.0000 3.4945
Pb 3.1016 3.1016 0.0000
O 1.3024 1.3024 5.2571
O 1.3024 4.9008 1.7319
O 1.7992 1.7992 1.7626
O 1.7992 4.4041 5.2264
O 4.4041 1.7992 5.2264
O 4.4041 4.4041 1.7626
O 4.9008 1.3024 1.7319
O 4.9008 4.9008 5.2571
```

---

(3)
Structure and computed powder XRD pattern of Ca3AgPt (the GGA-PBE geometry in Alexandria; Cu Ka).
Neutral-atom scattering factors, no anomalous dispersion.

Largest 10 diffraction maxima, in order of rising 2θ, 2θ from 5° to 70°:
Position (°2θ)  I (rel.)
12.13  206
21.29  1000
25.02  387
29.92  348
30.66  300
32.95  270
35.29  210
37.51  474
41.14  279
49.79  212

Structural model:
```
10
Lattice="5.0867 -7.2964 0.0000 5.0867 7.2964 0.0000 0.0000 0.0000 4.0767" Properties=species:S:1:pos:R:3 pbc="T T T"
Ca 5.0867 4.8945 0.0000
Ca 3.1812 1.8011 2.0384
Ca 3.1812 -1.8011 2.0384
Ca 6.9923 1.8011 2.0384
Ca 6.9923 -1.8011 2.0384
Ca 5.0867 -4.8945 0.0000
Ag 0.0000 0.0000 2.0384
Ag 5.0867 0.0000 0.0000
Pt 2.5434 3.6482 0.0000
Pt 2.5434 -3.6482 0.0000
```

---

(4)
Structure and computed powder XRD pattern of Rb4NaPa3O12 (the GGA-PBE geometry in Alexandria; Cu Ka).
Neutral-atom scattering factors, no anomalous dispersion.

Largest 10 diffraction maxima, in order of rising 2θ, 2θ from 5° to 70°:
Position (°2θ)  I (rel.)
14.01  237
19.86  215
24.39  131
28.23  1000
37.65  69
40.36  303
45.37  101
49.98  422
58.39  195
66.10  194

Structural model:
```
20
Lattice="-4.4700 4.4700 4.4700 4.4700 -4.4700 4.4700 4.4700 4.4700 -4.4700" Properties=species:S:1:pos:R:3 pbc="T T T"
Rb 2.2350 2.2350 -2.2350
Rb 2.2350 -2.2350 2.2350
Rb -2.2350 2.2350 2.2350
Rb 2.2350 2.2350 2.2350
Na 0.0000 0.0000 0.0000
Pa 4.4700 0.0000 0.0000
Pa 0.0000 4.4700 0.0000
Pa 0.0000 0.0000 4.4700
O 2.4904 0.0000 0.0000
O 6.4495 0.0000 0.0000
O 4.4700 2.2350 0.0000
O 4.4700 0.0000 2.2350
O 0.0000 2.4904 0.0000
O 0.0000 0.0000 2.4904
O 2.2350 4.4700 0.0000
O 2.2350 0.0000 4.4700
O 0.0000 6.4495 0.0000
O 0.0000 0.0000 6.4495
O 0.0000 4.4700 2.2350
O 0.0000 2.2350 4.4700
```

---

(5)
Structure and computed powder XRD pattern of Y4U3S8 (the GGA-PBE geometry in Alexandria; Cu Ka).
Neutral-atom scattering factors, no anomalous dispersion.

Largest 10 diffraction maxima, in order of rising 2θ, 2θ from 5° to 70°:
Position (°2θ)  I (rel.)
13.93  146
16.10  302
22.86  273
28.09  670
32.55  1000
36.52  174
40.13  135
46.69  716
55.38  334
58.07  248

Structural model:
```
15
Lattice="5.4993 -5.5019 0.0000 5.4993 5.5019 0.0000 -5.4939 0.0000 5.5056" Properties=species:S:1:pos:R:3 pbc="T T T"
Y 0.0000 0.0000 0.0000
Y 2.7497 2.7509 0.0000
Y 2.7497 -2.7509 0.0000
Y 2.7524 0.0000 2.7528
U -2.7469 0.0000 2.7528
U 0.0027 2.7509 2.7528
U 0.0027 -2.7509 2.7528
S 2.7524 2.7492 2.7528
S -2.7208 0.0000 5.4982
S 0.0062 0.0000 2.7744
S 5.4993 2.7300 0.0000
S 5.4993 -2.7300 0.0000
S 5.4986 0.0000 2.7312
S 8.2255 0.0000 0.0074
S 2.7524 -2.7492 2.7528
```

---

(6)
Structure and computed powder XRD pattern of La3In2Rh3 (the GGA-PBE geometry in Alexandria; Cu Ka).
Neutral-atom scattering factors, no anomalous dispersion.

Largest 10 diffraction maxima, in order of rising 2θ, 2θ from 5° to 70°:
Position (°2θ)  I (rel.)
12.19  155
28.97  251
32.63  243
35.81  922
36.17  1000
37.14  681
47.49  244
52.81  188
55.89  253
59.05  142

Structural model:
```
16
Lattice="8.3849 0.0000 0.0000 -4.1924 7.2615 0.0000 0.0000 0.0000 6.1648" Properties=species:S:1:pos:R:3 pbc="T T T"
La -1.1368 1.9690 1.5412
La -3.0556 5.2925 4.6236
La 2.2736 0.0000 1.5412
La 1.1368 1.9690 4.6236
La 6.1113 0.0000 4.6236
La 3.0556 5.2925 1.5412
In 0.0000 4.8410 0.0000
In 0.0000 4.8410 3.0824
In 4.1924 2.4205 0.0000
In 4.1924 2.4205 3.0824
Rh -1.6683 2.8895 4.6236
Rh -2.5242 4.3720 1.5412
Rh 3.3365 0.0000 4.6236
Rh 1.6683 2.8895 1.5412
Rh 5.0484 0.0000 1.5412
Rh 2.5242 4.3720 4.6236
```

---

(7)
Structure and computed powder XRD pattern of Tl5InHg7 (the GGA-PBE geometry in Alexandria; Cu Ka).
Neutral-atom scattering factors, no anomalous dispersion.

Largest 10 diffraction maxima, in order of rising 2θ, 2θ from 5° to 70°:
Position (°2θ)  I (rel.)
30.73  549
31.49  583
31.75  1000
32.57  257
33.04  316
33.51  801
33.82  566
38.04  370
38.93  283
68.24  319

Structural model:
```
13
Lattice="5.6401 -6.2965 0.0000 5.6401 6.2965 0.0000 -2.6335 0.0000 5.3324" Properties=species:S:1:pos:R:3 pbc="T T T"
Tl 0.0000 0.0000 0.0000
Tl 5.6972 3.2981 1.5337
Tl 5.6738 1.7997 4.6283
Tl 5.6972 -3.2981 1.5337
Tl 5.6738 -1.7997 4.6283
In 8.5419 0.0000 2.1217
Hg 2.9395 3.3493 3.4450
Hg 0.1244 0.0000 3.2582
Hg 2.9758 1.6203 0.6364
Hg 2.9758 -1.6203 0.6364
Hg 3.0728 0.0000 3.6250
Hg 5.6291 0.0000 1.5077
Hg 2.9395 -3.3493 3.4450
```

---

(8)
Structure and computed powder XRD pattern of AcAu2Cl6 (the GGA-PBE geometry in Alexandria; Cu Ka).
Neutral-atom scattering factors, no anomalous dispersion.

Largest 10 diffraction maxima, in order of rising 2θ, 2θ from 5° to 70°:
Position (°2θ)  I (rel.)
13.99  314
16.83  999
20.22  1000
20.80  983
25.20  538
26.12  477
29.02  421
30.90  600
34.25  359
40.54  589

Structural model:
```
18
Lattice="7.2574 -6.3322 0.0000 7.2574 6.3322 0.0000 -1.8546 0.0000 7.1225" Properties=species:S:1:pos:R:3 pbc="T T T"
Ac 5.8665 5.0221 5.3419
Ac 6.7937 -5.0221 1.7806
Au 3.6585 1.1866 6.3191
Au 4.5858 -1.1866 2.7579
Au 8.0744 1.1866 4.3646
Au 9.0017 -1.1866 0.8034
Cl 0.3186 0.8961 4.5251
Cl 3.4388 3.4885 5.8514
Cl 1.2459 -0.8961 0.9639
Cl 4.4761 0.8309 3.8542
Cl 8.2941 3.4885 4.8324
Cl 5.4034 -0.8309 0.2929
Cl 7.2568 0.8309 6.8296
Cl 4.3661 -3.4885 2.2901
Cl 8.1841 -0.8309 3.2683
Cl 11.4143 0.8961 6.1586
Cl 9.2214 -3.4885 1.2711
Cl 12.3416 -0.8961 2.5974
```

---

(9)
Structure and computed powder XRD pattern of Li2GaBiO4 (the GGA-PBE geometry in Alexandria; Cu Ka).
Neutral-atom scattering factors, no anomalous dispersion.

Largest 10 diffraction maxima, in order of rising 2θ, 2θ from 5° to 70°:
Position (°2θ)  I (rel.)
20.15  296
21.08  293
23.48  1000
24.58  520
32.24  237
34.25  667
34.61  321
42.91  249
55.76  220
61.80  191

Structural model:
```
16
Lattice="7.2441 0.0000 0.0000 0.0000 5.5525 0.0000 0.0000 0.0000 5.1824" Properties=species:S:1:pos:R:3 pbc="T T T"
Li 1.7946 0.9648 0.0000
Li 1.8274 4.5877 2.5912
Li 5.4166 4.5877 2.5912
Li 5.4494 0.9648 0.0000
Ga 0.0000 1.7081 2.6074
Ga 3.6220 3.8444 0.0162
Bi 0.0000 3.8908 5.1435
Bi 3.6220 1.6617 2.5523
O 0.0000 1.7583 4.5176
O 0.0000 3.5666 2.1940
O 1.5305 0.8950 1.9584
O 2.0915 4.6575 4.5496
O 3.6220 1.9859 4.7853
O 3.6220 3.7942 1.9264
O 5.1525 4.6575 4.5496
O 5.7135 0.8950 1.9584
```

---

(10)
Structure and computed powder XRD pattern of CeH4I4 (the GGA-PBE geometry in Alexandria; Cu Ka).
Neutral-atom scattering factors, no anomalous dispersion.

Largest 10 diffraction maxima, in order of rising 2θ, 2θ from 5° to 70°:
Position (°2θ)  I (rel.)
11.54  385
23.20  178
25.99  406
28.17  1000
33.05  212
36.80  405
37.08  129
40.51  190
48.99  168
56.08  162

Structural model:
```
9
Lattice="-5.4213 5.4213 2.0923 5.4213 -5.4213 2.0923 5.4213 5.4213 -2.0923" Properties=species:S:1:pos:R:3 pbc="T T T"
Ce 0.0000 0.0000 0.0000
H 8.4630 0.5322 0.0000
H 0.5322 2.3796 0.0000
H 4.8891 3.0417 2.0923
H -3.0417 4.8891 2.0923
I 4.8393 2.8181 0.0000
I 2.6032 -0.5820 2.0923
I 2.8181 6.0033 0.0000
I 0.5820 2.6032 2.0923
```

---

(11)
Structure and computed powder XRD pattern of Te2Mo2WSe4 (the GGA-PBE geometry in Alexandria; Cu Ka).
Neutral-atom scattering factors, no anomalous dispersion.

Largest 10 diffraction maxima, in order of rising 2θ, 2θ from 5° to 70°:
Position (°2θ)  I (rel.)
11.95  1000
30.37  418
32.74  141
34.48  342
36.62  765
41.86  303
44.87  385
53.95  321
55.47  119
66.98  131

Structural model:
```
9
Lattice="3.3989 0.0000 0.0000 -1.6995 2.9435 0.0000 0.0000 0.0000 22.2172" Properties=species:S:1:pos:R:3 pbc="T T T"
Te 0.0000 0.0000 1.8838
Te 0.0000 0.0000 20.3334
Mo 0.0000 0.0000 7.2665
Mo 0.0000 0.0000 14.9507
W 0.0000 1.9624 0.0000
Se 0.0000 1.9624 5.6184
Se 0.0000 1.9624 8.9135
Se 0.0000 1.9624 13.3037
Se 0.0000 1.9624 16.5989
```